The following is a calculated powder X-ray diffraction pattern of TlV4Cu3O12. It was derived from a structure optimized by DFT (GGA+U), using Cu Kα (weighted mean of Kα1 and Kα2).

Largest 10 diffraction maxima, in order of rising 2θ, 10 to 90 degrees two-theta:
Position (°2θ)  d [Å]  I (rel.)
16.9  5.260  28
23.9  3.719  12
29.4  3.037  12
34.1  2.630  100
38.3  2.352  14
45.6  1.988  16
49.0  1.860  26
61.0  1.518  46
71.8  1.315  13
81.9  1.176  16

Lattice parameters (Å, degrees): 7.438 7.438 7.438 90.00 90.00 90.00
Space group Im-3 (No. 204)
Unique sites:
Tl1 0.000 0.000 0.000 x2
V1 0.250 0.250 0.250 x8
Cu1 0.000 0.000 0.500 x6
O1 0.000 0.181 0.304 x24